The following is a computed X-ray diffraction stick pattern of Li2MnP2O8. It was derived from DFT lattice parameters and positions (PBE+U), using Cu Ka.
Lines closer than 0.1° are merged.

The 10 most intense peaks (2θ = 10–80°), sorted by position:
Position (°2θ)  d [Å]  intensity  hkl
12.60  7.028  100  0 0 1
23.40  3.802  21  1 0 1
24.35  3.655  41  0 1 1
26.25  3.395  51  1 1 -1
31.00  2.885  23  1 0 2
35.79  2.509  23  1 -1 0
36.39  2.469  18  1 2 0
39.52  2.280  7  -1 1 1
41.54  2.174  15  1 0 3
47.64  1.909  9  2 0 -1

Structural model:
```
13
Lattice="4.6616 0.0000 0.0000 2.2176 4.4387 0.0000 0.9216 -0.4033 7.0278" Properties=species:S:1:pos:R:3 pbc="T T T"
Li 1.9556 1.1545 2.4528
Li 5.8451 2.8809 4.5750
Mn 0.0000 0.0000 0.0000
P 3.3156 1.2025 5.5405
P 4.4851 2.8329 1.4873
O 2.4216 0.6666 6.6856
O 3.2505 3.8083 1.6141
O 2.5627 1.3113 4.2362
O 3.8940 2.6159 5.9301
O 3.9068 1.4195 1.0977
O 5.2380 2.7241 2.7916
O 4.5503 0.2271 5.4137
O 5.3791 3.3688 0.3422
```